The following is a theoretical XRD peak list of UAgP2O8. It was derived from a DFT-relaxed cell (PBE, Alexandria), using λ = 1.5418 Å (Cu Kα).

Structural model:
a = 5.481 Å, b = 5.481 Å, c = 6.949 Å
α = 90.00°, β = 90.00°, γ = 120.00°
Atoms (fractional coordinates):
1 U 0.000 0.000 0.000
2 Ag 0.000 0.000 0.500
3 P 0.333 0.667 0.722
4 P 0.667 0.333 0.278
5 O 0.181 0.362 0.814
6 O 0.181 0.819 0.814
7 O 0.333 0.667 0.508
8 O 0.362 0.181 0.186
9 O 0.638 0.819 0.814
10 O 0.667 0.333 0.492
11 O 0.819 0.181 0.186
12 O 0.819 0.638 0.186

Principal peaks in the range 2θ from 10° to 80°, sorted by position:
| Position (°2θ) | intensity |
| --- | --- |
| 18.7 | 100.0 |
| 22.7 | 41.0 |
| 31.9 | 76.1 |
| 32.7 | 48.5 |
| 37.9 | 12.0 |
| 42.0 | 33.6 |
| 46.3 | 34.3 |
| 50.9 | 18.3 |
| 52.7 | 12.6 |
| 57.8 | 26.0 |
| 63.4 | 14.9 |
| 77.5 | 12.8 |